Entry 1:
For TiZnSn, a DFT-relaxed cell (GGA-PBE, Alexandria) gives the simulated powder XRD pattern in this record (λ = 1.5418 Å (Cu Kα)).
Lines closer than 0.1° are merged.

Most intense lines, 10° ≤ 2θ ≤ 80°, in order of rising 2θ:
2theta  intensity
21.92  8.9
25.83  4.0
30.04  9.0
37.50  100.0
41.30  18.0
44.68  30.8
62.47  20.7
65.03  9.8
72.79  12.1
77.56  23.3

Atomic structure:
```
TiZnSn
1.0
4.0582 0.0000 0.0000
0.0000 13.1152 0.0000
0.0000 0.0000 4.0547
Ti Zn Sn
4 4 4
direct
0.0000 0.1506 0.0000 Ti
0.0000 0.8494 0.0000 Ti
0.5000 0.3494 0.0000 Ti
0.5000 0.6506 0.0000 Ti
0.0000 0.0000 0.5000 Zn
0.0000 0.5000 0.0000 Zn
0.5000 0.0000 0.0000 Zn
0.5000 0.5000 0.5000 Zn
0.0000 0.3360 0.5000 Sn
0.0000 0.6640 0.5000 Sn
0.5000 0.1640 0.5000 Sn
0.5000 0.8360 0.5000 Sn
```

Entry 2:
For Ba2LiAl3Ga4, a DFT-relaxed cell (GGA-PBE, Alexandria) gives the simulated powder XRD pattern in this record (λ = 1.5418 Å (Cu Kα)).
Lines closer than 0.1° are merged.

Most intense lines, 10° ≤ 2θ ≤ 80°, in order of rising 2θ:
2theta  intensity
20.86  19.4
27.30  29.8
31.19  80.5
31.88  100.0
38.99  58.2
45.77  31.0
50.75  40.1
56.33  19.5
61.66  25.2
66.19  27.3

Atomic structure:
```
Ba2LiAl3Ga4
1.0
4.6198 0.0000 0.0000
0.0000 4.6198 0.0000
0.0000 0.0000 10.9731
Ba Li Al Ga
2 1 3 4
direct
0.0000 0.5000 0.2448 Ba
0.5000 0.0000 0.7552 Ba
0.0000 0.0000 0.5000 Li
0.0000 0.5000 0.8714 Al
0.5000 0.0000 0.1286 Al
0.5000 0.5000 0.5000 Al
0.0000 0.0000 0.0000 Ga
0.0000 0.5000 0.6291 Ga
0.5000 0.0000 0.3709 Ga
0.5000 0.5000 0.0000 Ga
```

Entry 3:
For Ba2CePrS6, a DFT-relaxed cell (GGA-PBE, Alexandria) gives the simulated powder XRD pattern in this record (λ = 1.5418 Å (Cu Kα)).
Lines closer than 0.1° are merged.

Most intense lines, 10° ≤ 2θ ≤ 80°, in order of rising 2θ:
2theta  intensity
23.00  41.5
23.67  100.0
23.79  99.0
24.23  43.8
33.66  59.7
33.97  38.8
37.96  28.2
41.42  26.6
42.25  47.0
42.44  31.5

Atomic structure:
```
Ba2CePrS6
1.0
7.3470 0.0000 0.0000
0.0000 7.7320 0.0000
-7.2761 0.0000 10.5572
Ba Ce Pr S
4 2 2 12
direct
0.2251 0.0683 0.2491 Ba
0.2251 0.4317 0.7491 Ba
0.7749 0.5683 0.2509 Ba
0.7749 0.9317 0.7509 Ba
0.5000 0.0000 0.0000 Ce
0.5000 0.5000 0.5000 Ce
0.0000 0.0000 0.5000 Pr
0.0000 0.5000 0.0000 Pr
0.1530 0.1980 0.9472 S
0.1530 0.3020 0.4472 S
0.2488 0.7106 0.9434 S
0.2488 0.7894 0.4434 S
0.3599 0.0335 0.7556 S
0.3599 0.4665 0.2556 S
0.6401 0.5335 0.7444 S
0.6401 0.9665 0.2444 S
0.7512 0.2106 0.5566 S
0.7512 0.2894 0.0566 S
0.8470 0.6980 0.5528 S
0.8470 0.8020 0.0528 S
```

Entry 4:
For BaSr3F8, a DFT-relaxed cell (GGA-PBE, Alexandria) gives the simulated powder XRD pattern in this record (λ = 1.5418 Å (Cu Kα)).
Lines closer than 0.1° are merged.

Most intense lines, 10° ≤ 2θ ≤ 80°, in order of rising 2θ:
2theta  intensity
21.06  2.9
25.87  100.0
29.96  17.9
42.89  72.5
50.77  46.3
53.20  5.7
62.26  11.0
68.58  18.9
70.62  8.5
78.57  21.4

Atomic structure:
```
BaSr3F8
1.0
5.9647 0.0000 0.0000
0.0000 5.9647 0.0000
0.0000 0.0000 5.9647
Ba Sr F
1 3 8
direct
0.0000 0.0000 0.0000 Ba
0.0000 0.5000 0.5000 Sr
0.5000 0.0000 0.5000 Sr
0.5000 0.5000 0.0000 Sr
0.2570 0.2570 0.2570 F
0.2570 0.2570 0.7430 F
0.2570 0.7430 0.2570 F
0.2570 0.7430 0.7430 F
0.7430 0.2570 0.2570 F
0.7430 0.2570 0.7430 F
0.7430 0.7430 0.2570 F
0.7430 0.7430 0.7430 F
```

Entry 5:
For Zn2CuPd6, a DFT-relaxed cell (GGA-PBE, Alexandria) gives the simulated powder XRD pattern in this record (λ = 1.5418 Å (Cu Kα)).
Lines closer than 0.1° are merged.

Most intense lines, 10° ≤ 2θ ≤ 80°, in order of rising 2θ:
2theta  intensity
32.11  5.6
34.07  3.2
40.43  100.0
44.31  39.2
52.13  10.9
57.05  2.9
64.47  12.3
70.77  16.7
78.85  13.3
78.98  13.1

Atomic structure:
```
Zn2CuPd6
1.0
0.0000 5.2633 6.1264
2.0461 0.0000 6.1264
2.0461 5.2633 0.0000
Zn Cu Pd
2 1 6
direct
0.1624 0.1624 0.8376 Zn
0.8376 0.8376 0.1624 Zn
0.5000 0.5000 0.5000 Cu
0.1589 0.8411 0.1589 Pd
0.1764 0.4885 0.5115 Pd
0.4885 0.1764 0.8236 Pd
0.5115 0.8236 0.1764 Pd
0.8236 0.5115 0.4885 Pd
0.8411 0.1589 0.8411 Pd
```

Entry 6:
For La5Sm8Sc, a DFT-relaxed cell (GGA-PBE, Alexandria) gives the simulated powder XRD pattern in this record (λ = 1.5418 Å (Cu Kα)).
Lines closer than 0.1° are merged.

Most intense lines, 10° ≤ 2θ ≤ 80°, in order of rising 2θ:
2theta  intensity
22.79  8.4
23.87  8.7
23.97  9.5
29.13  20.6
30.88  100.0
31.57  28.1
31.81  13.6
32.26  15.9
32.76  13.1
55.80  9.5

Atomic structure:
```
La5Sm8Sc
1.0
7.8494 -4.3198 0.0000
7.8494 4.3198 0.0000
-4.7917 0.0000 7.2627
La Sm Sc
5 8 1
direct
0.0000 0.0000 0.0000 La
0.2978 0.6088 0.1685 La
0.3912 0.7022 0.8315 La
0.5684 0.2254 0.7638 La
0.7746 0.4316 0.2362 La
0.0655 0.5348 0.6815 Sm
0.1841 0.0726 0.5756 Sm
0.2828 0.3887 0.3759 Sm
0.4652 0.9345 0.3185 Sm
0.5631 0.0607 0.0557 Sm
0.6113 0.7172 0.6241 Sm
0.9274 0.8159 0.4244 Sm
0.9393 0.4369 0.9443 Sm
0.7288 0.2712 0.5000 Sc
```

Entry 7:
For PmThIn, a DFT-relaxed cell (GGA-PBE, Alexandria) gives the simulated powder XRD pattern in this record (λ = 1.5418 Å (Cu Kα)).
Lines closer than 0.1° are merged.

Most intense lines, 10° ≤ 2θ ≤ 80°, in order of rising 2θ:
2theta  intensity
31.47  100.0
33.56  19.8
35.99  17.9
39.74  13.6
50.02  12.9
52.96  10.9
58.70  14.4
61.89  14.7
65.70  11.4
66.99  11.5

Atomic structure:
```
PmThIn
1.0
4.5367 0.0000 0.0000
0.0000 16.0238 0.0000
0.0000 0.0000 4.9915
Pm Th In
4 4 4
direct
0.0000 0.0748 0.2500 Pm
0.0000 0.9252 0.7500 Pm
0.5000 0.4252 0.7500 Pm
0.5000 0.5748 0.2500 Pm
0.0000 0.2423 0.7500 Th
0.0000 0.7577 0.2500 Th
0.5000 0.2577 0.2500 Th
0.5000 0.7423 0.7500 Th
0.0000 0.4102 0.2500 In
0.0000 0.5898 0.7500 In
0.5000 0.0898 0.7500 In
0.5000 0.9102 0.2500 In
```

Entry 8:
For MgAg4Pd4, a DFT-relaxed cell (GGA-PBE, Alexandria) gives the simulated powder XRD pattern in this record (λ = 1.5418 Å (Cu Kα)).
Lines closer than 0.1° are merged.

Most intense lines, 10° ≤ 2θ ≤ 80°, in order of rising 2θ:
2theta  intensity
14.76  4.5
20.94  2.5
23.96  3.4
38.57  100.0
43.83  17.2
45.34  31.1
64.89  20.5
66.06  9.7
77.02  12.4
79.19  23.0

Atomic structure:
```
MgAg4Pd4
1.0
-4.2430 4.2430 2.0655
4.2430 -4.2430 2.0655
4.2430 4.2430 -2.0655
Mg Ag Pd
1 4 4
direct
0.0000 0.0000 0.0000 Mg
0.3326 0.3326 0.6652 Ag
0.3326 0.6674 0.0000 Ag
0.6674 0.3326 0.0000 Ag
0.6674 0.6674 0.3348 Ag
0.0000 0.3340 0.3340 Pd
0.0000 0.6660 0.6660 Pd
0.3340 0.0000 0.3340 Pd
0.6660 0.0000 0.6660 Pd
```

Copy entry 7 word for word.
For PmThIn, a DFT-relaxed cell (GGA-PBE, Alexandria) gives the simulated powder XRD pattern in this record (λ = 1.5418 Å (Cu Kα)).
Lines closer than 0.1° are merged.

Most intense lines, 10° ≤ 2θ ≤ 80°, in order of rising 2θ:
2theta  intensity
31.47  100.0
33.56  19.8
35.99  17.9
39.74  13.6
50.02  12.9
52.96  10.9
58.70  14.4
61.89  14.7
65.70  11.4
66.99  11.5

Atomic structure:
```
PmThIn
1.0
4.5367 0.0000 0.0000
0.0000 16.0238 0.0000
0.0000 0.0000 4.9915
Pm Th In
4 4 4
direct
0.0000 0.0748 0.2500 Pm
0.0000 0.9252 0.7500 Pm
0.5000 0.4252 0.7500 Pm
0.5000 0.5748 0.2500 Pm
0.0000 0.2423 0.7500 Th
0.0000 0.7577 0.2500 Th
0.5000 0.2577 0.2500 Th
0.5000 0.7423 0.7500 Th
0.0000 0.4102 0.2500 In
0.0000 0.5898 0.7500 In
0.5000 0.0898 0.7500 In
0.5000 0.9102 0.2500 In
```

Repeat the fifth record exactly.
For Zn2CuPd6, a DFT-relaxed cell (GGA-PBE, Alexandria) gives the simulated powder XRD pattern in this record (λ = 1.5418 Å (Cu Kα)).
Lines closer than 0.1° are merged.

Most intense lines, 10° ≤ 2θ ≤ 80°, in order of rising 2θ:
2theta  intensity
32.11  5.6
34.07  3.2
40.43  100.0
44.31  39.2
52.13  10.9
57.05  2.9
64.47  12.3
70.77  16.7
78.85  13.3
78.98  13.1

Atomic structure:
```
Zn2CuPd6
1.0
0.0000 5.2633 6.1264
2.0461 0.0000 6.1264
2.0461 5.2633 0.0000
Zn Cu Pd
2 1 6
direct
0.1624 0.1624 0.8376 Zn
0.8376 0.8376 0.1624 Zn
0.5000 0.5000 0.5000 Cu
0.1589 0.8411 0.1589 Pd
0.1764 0.4885 0.5115 Pd
0.4885 0.1764 0.8236 Pd
0.5115 0.8236 0.1764 Pd
0.8236 0.5115 0.4885 Pd
0.8411 0.1589 0.8411 Pd
```